Starting from a DFT-relaxed cell (PBE, Alexandria), the XRD peak list of CaTi3Ir was computed for copper Kα.

Crystal structure
```
CaTi3Ir
1.0
4.8674 0.0000 0.0000
0.0000 4.8674 0.0000
0.0000 0.0000 4.8674
Ca Ti Ir
1 3 1
direct
0.0000 0.0000 0.0000
0.0000 0.5000 0.5000
0.5000 0.0000 0.5000
0.5000 0.5000 0.0000
0.5000 0.5000 0.5000
```

Main lines, by intensity (2θ = 10–90°):
- d = 4.867 Å, 18.2°, I 100, hkl 1 0 0
- d = 3.442 Å, 25.9°, I 78, hkl 1 1 0
- d = 2.434 Å, 36.9°, I 64, hkl 2 0 0
- d = 2.177 Å, 41.5°, I 50, hkl 2 1 0
- d = 1.721 Å, 53.2°, I 43, hkl 2 2 0
- d = 1.987 Å, 45.7°, I 35, hkl 2 1 1
- d = 1.622 Å, 56.7°, I 25, hkl 3 0 0
- d = 1.301 Å, 72.7°, I 18, hkl 3 2 1